Simulated powder diffraction line list of KCa2Hg6 for Cu Kα (λ = 1.5418 Å), from a crystal structure in Alexandria, relaxed with PBE.
No peak broadening, texture or thermal motion is included.

Most intense lines, 5° ≤ 2θ ≤ 70°, most intense first:
d (Å), 2theta, intensity
2.519, 35.64, 100.0
3.697, 24.07, 71.4
2.202, 40.99, 52.7
2.613, 34.32, 52.5
2.420, 37.16, 47.5
3.181, 28.05, 47.0
2.807, 31.88, 46.0
4.470, 19.86, 42.9
1.490, 62.31, 42.6
1.518, 61.04, 42.3

Atomic structure:
Lattice parameters (Å, degrees): 9.148 9.148 9.148 156.00 123.73 62.04
Atoms (fractional coordinates):
1 K 0.000 0.000 0.000
2 Ca 0.356 0.856 0.500
3 Ca 0.644 0.144 0.500
4 Hg 0.002 0.325 0.677
5 Hg 0.329 0.500 0.829
6 Hg 0.352 0.675 0.677
7 Hg 0.648 0.325 0.323
8 Hg 0.671 0.500 0.171
9 Hg 0.998 0.675 0.323

Simulated powder diffraction line list of KCa2Hg9 for Cu Kα (λ = 1.5418 Å), from a crystal structure in Alexandria, relaxed with PBE.
No peak broadening, texture or thermal motion is included.

Most intense lines, 5° ≤ 2θ ≤ 70°, most intense first:
d (Å), 2theta, intensity
2.764, 32.39, 100.0
2.386, 37.71, 34.7
1.440, 64.74, 27.8
1.696, 54.08, 21.1
2.411, 37.30, 15.3
1.687, 54.39, 12.1
4.771, 18.60, 11.5
1.382, 67.81, 10.8
1.451, 64.19, 10.3
3.391, 26.28, 9.9

Atomic structure:
Lattice parameters (Å, degrees): 4.771 4.771 14.464 90.00 90.00 90.00
Atoms (fractional coordinates):
1 K 0.000 0.000 0.000
2 Ca 0.000 0.000 0.338
3 Ca 0.000 0.000 0.662
4 Hg 0.000 0.500 0.180
5 Hg 0.000 0.500 0.500
6 Hg 0.000 0.500 0.820
7 Hg 0.500 0.000 0.180
8 Hg 0.500 0.000 0.500
9 Hg 0.500 0.000 0.820
10 Hg 0.500 0.500 0.000
11 Hg 0.500 0.500 0.346
12 Hg 0.500 0.500 0.654

Repeat the second record exactly.
Simulated powder diffraction line list of KCa2Hg9 for Cu Kα (λ = 1.5418 Å), from a crystal structure in Alexandria, relaxed with PBE.
No peak broadening, texture or thermal motion is included.

Most intense lines, 5° ≤ 2θ ≤ 70°, most intense first:
d (Å), 2theta, intensity
2.764, 32.39, 100.0
2.386, 37.71, 34.7
1.440, 64.74, 27.8
1.696, 54.08, 21.1
2.411, 37.30, 15.3
1.687, 54.39, 12.1
4.771, 18.60, 11.5
1.382, 67.81, 10.8
1.451, 64.19, 10.3
3.391, 26.28, 9.9

Atomic structure:
Lattice parameters (Å, degrees): 4.771 4.771 14.464 90.00 90.00 90.00
Atoms (fractional coordinates):
1 K 0.000 0.000 0.000
2 Ca 0.000 0.000 0.338
3 Ca 0.000 0.000 0.662
4 Hg 0.000 0.500 0.180
5 Hg 0.000 0.500 0.500
6 Hg 0.000 0.500 0.820
7 Hg 0.500 0.000 0.180
8 Hg 0.500 0.000 0.500
9 Hg 0.500 0.000 0.820
10 Hg 0.500 0.500 0.000
11 Hg 0.500 0.500 0.346
12 Hg 0.500 0.500 0.654